[1]
This entry pairs a crystal structure of CaCuN with its theoretical PXRD pattern. Radiation: copper Kα. Structure: a cell relaxed with GGA-PBE.
Lines closer than 0.1° are merged.

Peak list (8 most intense, 2θ from 5° to 70°, by angle)
2θ 14.40, intensity 33.7
2θ 21.40, intensity 54.5
2θ 21.82, intensity 28.4
2θ 34.41, intensity 100.0
2θ 36.03, intensity 44.3
2θ 41.53, intensity 28.1
2θ 42.90, intensity 29.6
2θ 47.38, intensity 33.5

Crystal structure
```
data_CaCuN
_chemical_formula_sum 'Ca4 Cu4 N4'
_cell_length_a 8.910
_cell_length_b 8.910
_cell_length_c 6.755
_cell_angle_alpha 110.05
_cell_angle_beta 110.05
_cell_angle_gamma 24.87
_symmetry_space_group_name_H-M 'P 1'
_symmetry_Int_Tables_number 1
loop_
_symmetry_equiv_pos_as_xyz
'x,y,z'
loop_
_atom_site_label
_atom_site_type_symbol
_atom_site_fract_x
_atom_site_fract_y
_atom_site_fract_z
Ca1 Ca 0.054 0.054 0.337
Ca2 Ca 0.243 0.243 0.687
Ca3 Ca 0.757 0.757 0.313
Ca4 Ca 0.946 0.946 0.663
Cu1 Cu 0.136 0.136 0.011
Cu2 Cu 0.406 0.406 0.275
Cu3 Cu 0.594 0.594 0.725
Cu4 Cu 0.864 0.864 0.989
N1 N 0.097 0.097 0.713
N2 N 0.179 0.179 0.301
N3 N 0.821 0.821 0.699
N4 N 0.903 0.903 0.287
```

[2]
This entry pairs a crystal structure of Cs3HSe2O8 with its theoretical PXRD pattern. Radiation: copper Kα. Structure: a cell relaxed with GGA-PBE.
Lines closer than 0.1° are merged.

Peak list (8 most intense, 2θ from 5° to 70°, by angle)
2θ 23.71, intensity 51.4
2θ 24.57, intensity 100.0
2θ 27.43, intensity 41.6
2θ 27.86, intensity 71.3
2θ 36.57, intensity 42.3
2θ 38.37, intensity 14.8
2θ 40.01, intensity 21.2
2θ 48.76, intensity 14.6

Crystal structure
```
data_Cs3HSe2O8
_chemical_formula_sum 'Cs6 H2 Se4 O16'
_cell_length_a 8.729
_cell_length_b 6.502
_cell_length_c 11.056
_cell_angle_alpha 90.00
_cell_angle_beta 111.80
_cell_angle_gamma 90.00
_symmetry_space_group_name_H-M 'P 1'
_symmetry_Int_Tables_number 1
loop_
_symmetry_equiv_pos_as_xyz
'x,y,z'
loop_
_atom_site_label
_atom_site_type_symbol
_atom_site_fract_x
_atom_site_fract_y
_atom_site_fract_z
Cs1 Cs 0.003 0.250 0.237
Cs2 Cs 0.386 0.250 0.052
Cs3 Cs 0.396 0.750 0.552
Cs4 Cs 0.604 0.250 0.448
Cs5 Cs 0.614 0.750 0.948
Cs6 Cs 0.997 0.750 0.763
H1 H 0.002 0.250 0.725
H2 H 0.998 0.750 0.275
Se1 Se 0.234 0.750 0.179
Se2 Se 0.237 0.250 0.676
Se3 Se 0.763 0.750 0.324
Se4 Se 0.766 0.250 0.821
O1 O 0.020 0.250 0.636
O2 O 0.027 0.750 0.147
O3 O 0.258 0.250 0.534
O4 O 0.267 0.750 0.040
O5 O 0.305 0.037 0.762
O6 O 0.305 0.463 0.762
O7 O 0.312 0.538 0.266
O8 O 0.312 0.962 0.266
O9 O 0.688 0.038 0.734
O10 O 0.688 0.462 0.734
O11 O 0.695 0.537 0.238
O12 O 0.695 0.963 0.238
O13 O 0.733 0.250 0.960
O14 O 0.742 0.750 0.466
O15 O 0.973 0.250 0.853
O16 O 0.980 0.750 0.364
```

Repeat the second record exactly.
This entry pairs a crystal structure of Cs3HSe2O8 with its theoretical PXRD pattern. Radiation: copper Kα. Structure: a cell relaxed with GGA-PBE.
Lines closer than 0.1° are merged.

Peak list (8 most intense, 2θ from 5° to 70°, by angle)
2θ 23.71, intensity 51.4
2θ 24.57, intensity 100.0
2θ 27.43, intensity 41.6
2θ 27.86, intensity 71.3
2θ 36.57, intensity 42.3
2θ 38.37, intensity 14.8
2θ 40.01, intensity 21.2
2θ 48.76, intensity 14.6

Crystal structure
```
data_Cs3HSe2O8
_chemical_formula_sum 'Cs6 H2 Se4 O16'
_cell_length_a 8.729
_cell_length_b 6.502
_cell_length_c 11.056
_cell_angle_alpha 90.00
_cell_angle_beta 111.80
_cell_angle_gamma 90.00
_symmetry_space_group_name_H-M 'P 1'
_symmetry_Int_Tables_number 1
loop_
_symmetry_equiv_pos_as_xyz
'x,y,z'
loop_
_atom_site_label
_atom_site_type_symbol
_atom_site_fract_x
_atom_site_fract_y
_atom_site_fract_z
Cs1 Cs 0.003 0.250 0.237
Cs2 Cs 0.386 0.250 0.052
Cs3 Cs 0.396 0.750 0.552
Cs4 Cs 0.604 0.250 0.448
Cs5 Cs 0.614 0.750 0.948
Cs6 Cs 0.997 0.750 0.763
H1 H 0.002 0.250 0.725
H2 H 0.998 0.750 0.275
Se1 Se 0.234 0.750 0.179
Se2 Se 0.237 0.250 0.676
Se3 Se 0.763 0.750 0.324
Se4 Se 0.766 0.250 0.821
O1 O 0.020 0.250 0.636
O2 O 0.027 0.750 0.147
O3 O 0.258 0.250 0.534
O4 O 0.267 0.750 0.040
O5 O 0.305 0.037 0.762
O6 O 0.305 0.463 0.762
O7 O 0.312 0.538 0.266
O8 O 0.312 0.962 0.266
O9 O 0.688 0.038 0.734
O10 O 0.688 0.462 0.734
O11 O 0.695 0.537 0.238
O12 O 0.695 0.963 0.238
O13 O 0.733 0.250 0.960
O14 O 0.742 0.750 0.466
O15 O 0.973 0.250 0.853
O16 O 0.980 0.750 0.364
```